1.
For MgNi2F8, a crystal structure in Alexandria, relaxed with PBE+U gives the theoretical powder X-ray diffraction pattern in this record (Cu Kα X-rays).
No peak broadening, texture or thermal motion is included.

Structure:
a = 6.188 Å, b = 6.188 Å, c = 4.011 Å
α = 90.00°, β = 90.00°, γ = 120.00°
Fractional positions:
Mg 0.000 0.000 0.000
Ni 0.333 0.667 0.730
Ni 0.667 0.333 0.270
F 0.165 0.329 0.753
F 0.165 0.835 0.753
F 0.329 0.165 0.247
F 0.333 0.667 0.249
F 0.667 0.333 0.751
F 0.671 0.835 0.753
F 0.835 0.165 0.247
F 0.835 0.671 0.247

Largest 8 diffraction maxima, low angle first, 2θ from 15° to 90°:
16.5 deg, intensity 18, (1 0 0); 27.8 deg, intensity 100, (1 0 1); 28.9 deg, intensity 82, (1 1 0); 33.4 deg, intensity 32, (2 0 0); 45.2 deg, intensity 20, (0 0 2); 50.5 deg, intensity 38, (2 1 1); 57.4 deg, intensity 23, (2 0 2); 59.8 deg, intensity 33, (2 2 0)

=====

2.
For MgNi2F2, a crystal structure in Alexandria, relaxed with PBE+U gives the theoretical powder X-ray diffraction pattern in this record (Cu Kα X-rays).
No peak broadening, texture or thermal motion is included.

Structure:
a = 5.200 Å, b = 5.200 Å, c = 4.880 Å
α = 90.00°, β = 90.00°, γ = 90.00°
Fractional positions:
Mg 0.000 0.000 0.000
Mg 0.500 0.500 0.000
Ni 0.182 0.318 0.500
Ni 0.318 0.818 0.500
Ni 0.682 0.182 0.500
Ni 0.818 0.682 0.500
F 0.182 0.318 0.000
F 0.318 0.818 0.000
F 0.682 0.182 0.000
F 0.818 0.682 0.000

Largest 8 diffraction maxima, low angle first, 2θ from 15° to 90°:
18.2 deg, intensity 50, (0 0 1); 34.5 deg, intensity 38, (2 0 0); 36.8 deg, intensity 82, (0 0 2); 38.7 deg, intensity 100, (2 1 0); 39.3 deg, intensity 52, (2 0 1); 43.1 deg, intensity 44, (2 1 1); 54.5 deg, intensity 67, (2 1 2); 87.0 deg, intensity 26, (4 1 2)

=====

3.
For MgNi2F6, a crystal structure in Alexandria, relaxed with PBE+U gives the theoretical powder X-ray diffraction pattern in this record (Cu Kα X-rays).
No peak broadening, texture or thermal motion is included.

Structure:
a = 5.098 Å, b = 5.098 Å, c = 4.486 Å
α = 90.00°, β = 90.00°, γ = 120.00°
Fractional positions:
Mg 0.000 0.000 0.000
Ni 0.333 0.667 0.500
Ni 0.667 0.333 0.500
F 0.000 0.331 0.744
F 0.000 0.669 0.256
F 0.331 0.000 0.744
F 0.331 0.331 0.256
F 0.669 0.000 0.256
F 0.669 0.669 0.744

Largest 8 diffraction maxima, low angle first, 2θ from 15° to 90°:
19.8 deg, intensity 59, (0 0 1); 28.4 deg, intensity 100, (1 0 1); 35.2 deg, intensity 32, (1 1 0); 40.7 deg, intensity 91, (2 -1 1); 45.8 deg, intensity 26, (2 0 1); 54.5 deg, intensity 78, (2 -1 2); 59.1 deg, intensity 23, (2 1 1); 63.2 deg, intensity 36, (3 0 0)

=====

4.
For Mg2Tl3NiF9, a crystal structure in Alexandria, relaxed with PBE+U gives the theoretical powder X-ray diffraction pattern in this record (Cu Kα X-rays).
No peak broadening, texture or thermal motion is included.

Structure:
a = 5.858 Å, b = 5.858 Å, c = 7.177 Å
α = 90.00°, β = 90.00°, γ = 120.00°
Fractional positions:
Mg 0.333 0.667 0.164
Mg 0.667 0.333 0.836
Tl 0.000 0.000 0.000
Tl 0.333 0.667 0.663
Tl 0.667 0.333 0.337
Ni 0.000 0.000 0.500
F 0.000 0.500 0.000
F 0.167 0.335 0.332
F 0.167 0.833 0.332
F 0.335 0.167 0.668
F 0.500 0.000 0.000
F 0.500 0.500 0.000
F 0.665 0.833 0.332
F 0.833 0.167 0.668
F 0.833 0.665 0.668

Largest 8 diffraction maxima, low angle first, 2θ from 15° to 90°:
21.4 deg, intensity 48, (1 0 1); 30.5 deg, intensity 100, (1 1 0); 37.6 deg, intensity 39, (0 2 1); 43.7 deg, intensity 34, (2 0 2); 49.2 deg, intensity 24, (2 1 1); 54.2 deg, intensity 42, (3 0 0); 63.5 deg, intensity 22, (2 2 0); 88.3 deg, intensity 22, (4 1 0)